KCrCdC6N6O: simulated XRD peak list (a wavelength of 1.5418 Å), based on a cell relaxed with PBE+U.
Intensities are scaled so that the largest is 100.

Crystal structure
Lattice parameters (Å, degrees): 11.185 11.185 11.185 90.00 90.00 90.00
Space group F-43m (No. 216)
One atom of each set of equivalent atoms:
1 K 0.000 0.000 0.000
2 Cr 0.250 0.250 0.250
3 Cd 0.250 0.250 0.750
4 C 0.064 0.250 0.250
5 N 0.041 0.250 0.750
6 O 0.000 0.000 0.500

Peak list (6 most intense, 2θ from 15° to 90°, low angle first)
- 5.593 Å, rel. 93, hkl 2 0 0
- 3.955 Å, rel. 100, hkl 2 2 0
- 2.796 Å, rel. 60, hkl 4 0 0
- 2.283 Å, rel. 31, hkl 4 2 2
- 1.977 Å, rel. 31, hkl 4 4 0
- 1.769 Å, rel. 30, hkl 6 2 0